Entry 1:
The following is a calculated powder XRD pattern of BaCdSb2. It was derived from a PBE-relaxed structure, using Cu Kα (λ = 1.5418 Å).
No peak broadening, texture or thermal motion is included.

Structural model:
```
data_BaCdSb2
_chemical_formula_sum 'Ba4 Cd4 Sb8'
_cell_length_a 4.6133
_cell_length_b 4.6133
_cell_length_c 24.8226
_cell_angle_alpha 90.00
_cell_angle_beta 90.00
_cell_angle_gamma 90.00
_symmetry_space_group_name_H-M 'I 4/m m m'
_symmetry_Int_Tables_number 139
_symmetry_space_group_name_Hall '-I 4 2'
loop_
_atom_site_label
_atom_site_fract_x
_atom_site_fract_y
_atom_site_fract_z
_atom_site_occupancy
Ba1 0.0000 0.0000 0.1122 1
Cd1 0.0000 0.5000 0.2500 1
Sb1 0.0000 0.0000 0.3256 1
Sb2 0.0000 0.5000 0.0000 1
```

Main lines, low angle first (10 to 80 degrees two-theta):
2theta	d [Å]	intensity	hkl
26.4	3.379	400	1 0 5
28.8	3.103	114	0 0 8
31.0	2.887	1000	1 1 4
38.0	2.367	207	1 0 9
39.0	2.307	395	2 0 0
40.1	2.248	157	1 1 8
47.7	1.905	156	2 1 5
49.2	1.851	101	2 0 8
55.6	1.652	135	2 1 9
56.4	1.631	132	2 2 0
60.1	1.540	62	2 0 12
65.8	1.420	221	3 1 4

***

Entry 2:
The following is a calculated powder XRD pattern of Ca3CuIrO6. It was derived from a PBE-relaxed structure, using Cu Kα (λ = 1.5418 Å).
No peak broadening, texture or thermal motion is included.

Structural model:
```
data_Ca3CuIrO6
_chemical_formula_sum 'Ca12 Cu4 Ir4 O24'
_cell_length_a 9.1506
_cell_length_b 9.3426
_cell_length_c 6.5109
_cell_angle_alpha 90.00
_cell_angle_beta 90.04
_cell_angle_gamma 90.00
_symmetry_space_group_name_H-M 'C 1 2/c 1'
_symmetry_Int_Tables_number 15
loop_
_symmetry_equiv_pos_as_xyz
'x,y,z'
'-x,-y,-z'
'-x,y,-z+1/2'
'x,-y,z+1/2'
'x+1/2,y+1/2,z'
'-x+1/2,-y+1/2,-z'
'-x+1/2,y+1/2,-z+1/2'
'x+1/2,-y+1/2,z+1/2'
loop_
_atom_site_label
_atom_site_fract_x
_atom_site_fract_y
_atom_site_fract_z
_atom_site_occupancy
Ca1 0.0000 0.0966 0.2500 1
Ca2 0.1851 0.4252 0.3823 1
Cu1 0.0000 0.3083 0.7500 1
Ir1 0.2500 0.2500 0.0000 1
O1 0.0552 0.3486 0.0440 1
O2 0.1417 0.0674 0.9342 1
O3 0.2174 0.3161 0.7070 1
```

Main lines, low angle first (10 to 80 degrees two-theta):
2theta	d [Å]	intensity	hkl
19.0	4.671	285	0 2 0
19.2	4.614	1000	1 1 -1
19.4	4.575	174	2 0 0
30.6	2.920	126	2 2 1
33.4	2.686	460	1 3 -1
33.8	2.651	473	2 0 -2
39.1	2.306	227	2 2 2
43.8	2.066	205	3 3 1
44.0	2.060	239	1 1 3
44.1	2.055	134	4 2 0
52.7	1.737	153	3 1 -3
60.2	1.538	131	3 3 -3

***

Entry 3:
The following is a calculated powder XRD pattern of S5N6. It was derived from a PBE-relaxed structure, using Cu Kα (λ = 1.5418 Å).
No peak broadening, texture or thermal motion is included.

Structural model:
```
data_S5N6
_chemical_formula_sum 'S20 N24'
_cell_length_a 9.5957
_cell_length_b 12.0029
_cell_length_c 7.9181
_cell_angle_alpha 90.00
_cell_angle_beta 105.39
_cell_angle_gamma 90.00
_symmetry_space_group_name_H-M 'C 1 2/c 1'
_symmetry_Int_Tables_number 15
loop_
_symmetry_equiv_pos_as_xyz
'x,y,z'
'-x,-y,-z'
'-x,y,-z+1/2'
'x,-y,z+1/2'
'x+1/2,y+1/2,z'
'-x+1/2,-y+1/2,-z'
'-x+1/2,y+1/2,-z+1/2'
'x+1/2,-y+1/2,z+1/2'
loop_
_atom_site_label
_atom_site_fract_x
_atom_site_fract_y
_atom_site_fract_z
_atom_site_occupancy
S1 0.0000 0.0932 0.2500 1
S2 0.0387 0.2855 0.0150 1
S3 0.1341 0.4183 0.3227 1
N1 0.0191 0.1508 0.0822 1
N2 0.1102 0.3535 0.4916 1
N3 0.1658 0.3478 0.1631 1
```

Main lines, low angle first (10 to 80 degrees two-theta):
2theta	d [Å]	intensity	hkl
12.1	7.327	370	1 1 0
14.8	6.001	197	0 2 0
14.9	5.948	1000	1 1 -1
18.5	4.806	715	1 1 1
19.2	4.626	720	2 0 0
24.3	3.667	290	2 2 0
25.8	3.455	764	1 3 -1
27.7	3.221	501	0 2 2
29.2	3.061	387	2 2 1
29.9	2.987	426	3 1 0
30.0	2.974	482	2 2 -2
46.4	1.955	210	2 0 -4

***

Entry 4:
The following is a calculated powder XRD pattern of Hf2MnCo. It was derived from a PBE-relaxed structure, using Cu Kα (λ = 1.5418 Å).
No peak broadening, texture or thermal motion is included.

Structural model:
```
data_Hf2MnCo
_chemical_formula_sum 'Hf8 Mn4 Co4'
_cell_length_a 6.2981
_cell_length_b 6.2981
_cell_length_c 6.2981
_cell_angle_alpha 90.00
_cell_angle_beta 90.00
_cell_angle_gamma 90.00
_symmetry_space_group_name_H-M 'F m -3 m'
_symmetry_Int_Tables_number 225
_symmetry_space_group_name_Hall '-F 4 2 3'
loop_
_atom_site_label
_atom_site_fract_x
_atom_site_fract_y
_atom_site_fract_z
_atom_site_occupancy
Hf1 0.2500 0.2500 0.2500 1
Mn1 0.0000 0.0000 0.0000 1
Co1 0.0000 0.0000 0.5000 1
```

Main lines, low angle first (10 to 80 degrees two-theta):
2theta	d [Å]	intensity	hkl
28.3	3.149	314	2 0 0
40.5	2.227	1000	2 2 0
50.2	1.818	93	2 2 2
58.6	1.575	167	4 0 0
66.4	1.408	126	4 2 0
73.7	1.286	334	4 2 2

***

Entry 5:
The following is a calculated powder XRD pattern of KLiMg6. It was derived from a PBE-relaxed structure, using Cu Kα (λ = 1.5418 Å).
No peak broadening, texture or thermal motion is included.

Structural model:
```
data_KLiMg6
_chemical_formula_sum 'K2 Li2 Mg12'
_cell_length_a 5.3279
_cell_length_b 6.7590
_cell_length_c 11.6335
_cell_angle_alpha 90.00
_cell_angle_beta 90.00
_cell_angle_gamma 90.00
_symmetry_space_group_name_H-M 'A m m 2'
_symmetry_Int_Tables_number 38
loop_
_symmetry_equiv_pos_as_xyz
'x,y,z'
'-x,-y,z'
'-x,y,z'
'x,-y,z'
'x,y+1/2,z+1/2'
'-x,-y+1/2,z+1/2'
'-x,y+1/2,z+1/2'
'x,-y+1/2,z+1/2'
loop_
_atom_site_label
_atom_site_fract_x
_atom_site_fract_y
_atom_site_fract_z
_atom_site_occupancy
K1 0.0000 0.0000 0.0000 1
Li1 0.5000 0.0000 0.8285 1
Mg1 0.0000 0.0000 0.5077 1
Mg2 0.0000 0.2486 0.7525 1
Mg3 0.5000 0.0000 0.3400 1
Mg4 0.5000 0.2321 0.5976 1
```

Main lines, low angle first (10 to 80 degrees two-theta):
2theta	d [Å]	intensity	hkl
22.6	3.936	174	1 1 1
30.6	2.922	325	0 2 2
30.7	2.908	99	0 0 4
33.6	2.664	397	2 0 0
35.0	2.562	1000	1 2 2
35.2	2.553	581	1 0 4
46.1	1.969	195	2 2 2
54.6	1.682	174	0 2 6
61.1	1.517	287	3 0 4
65.4	1.427	98	2 4 0
65.7	1.422	192	2 2 6
66.3	1.409	154	1 4 4